Starting from the GGA-PBE geometry in Alexandria, the powder diffractogram of Ca3Pm2NdSe6 was simulated for Cu Kα X-rays.
No peak broadening, texture or thermal motion is included.

Top 6 peaks for 5 to 70 degrees two-theta, most intense first:
d = 2.972 Å, 2θ = 30.1°, I = 100, (1 3 1)
d = 2.117 Å, 2θ = 42.7°, I = 38, (2 0 2)
d = 2.087 Å, 2θ = 43.4°, I = 36, (0 6 0)
d = 1.708 Å, 2θ = 53.7°, I = 19, (4 0 0)
d = 6.965 Å, 2θ = 12.7°, I = 19, (0 0 1)
d = 3.561 Å, 2θ = 25.0°, I = 14, (1 3 0)

```
data_Ca3Pm2NdSe6
_chemical_formula_sum 'Ca6 Pm4 Nd2 Se12'
_symmetry_space_group_name_H-M 'C 1 2/m 1'
_symmetry_Int_Tables_number 12
_cell_length_a 7.232
_cell_length_b 12.514
_cell_length_c 7.371
_cell_angle_alpha 90.00
_cell_angle_beta 109.12
_cell_angle_gamma 90.00
loop_
_symmetry_equiv_pos_as_xyz
'x,y,z'
'-x,-y,-z'
'-x,y,-z'
'x,-y,z'
'x+1/2,y+1/2,z'
'-x+1/2,-y+1/2,-z'
'-x+1/2,y+1/2,-z'
'x+1/2,-y+1/2,z'
loop_
_atom_site_label
_atom_site_fract_x
_atom_site_fract_y
_atom_site_fract_z
Ca1 0.000 0.000 0.000
Ca2 0.000 0.334 0.000
Pm1 0.000 0.167 0.500
Nd1 0.000 0.500 0.500
Se1 0.248 0.168 0.245
Se2 0.250 0.000 0.755
```

=====

Starting from the GGA-PBE geometry in Alexandria, the powder diffractogram of Ti5AlPt8 was simulated for Cu Kα X-rays.
No peak broadening, texture or thermal motion is included.

Top 6 peaks for 5 to 70 degrees two-theta, most intense first:
d = 2.462 Å, 2θ = 36.5°, I = 100, (1 3 0)
d = 3.169 Å, 2θ = 28.2°, I = 93, (2 1 1)
d = 2.050 Å, 2θ = 44.2°, I = 62, (2 1 3)
d = 2.068 Å, 2θ = 43.8°, I = 58, (1 3 2)
d = 2.411 Å, 2θ = 37.3°, I = 48, (1 0 3)
d = 2.079 Å, 2θ = 43.5°, I = 47, (3 2 1)

```
data_Ti5AlPt8
_chemical_formula_sum 'Ti10 Al2 Pt16'
_symmetry_space_group_name_H-M 'I -4'
_symmetry_Int_Tables_number 82
_cell_length_a 7.794
_cell_length_b 7.794
_cell_length_c 7.605
_cell_angle_alpha 90.00
_cell_angle_beta 90.00
_cell_angle_gamma 90.00
loop_
_symmetry_equiv_pos_as_xyz
'x,y,z'
'y,-x,-z'
'-x,-y,z'
'-y,x,-z'
'x+1/2,y+1/2,z+1/2'
'y+1/2,-x+1/2,-z+1/2'
'-x+1/2,-y+1/2,z+1/2'
'-y+1/2,x+1/2,-z+1/2'
loop_
_atom_site_label
_atom_site_fract_x
_atom_site_fract_y
_atom_site_fract_z
Ti1 0.000 0.000 0.000
Ti2 0.126 0.793 0.397
Al1 0.000 0.500 0.750
Pt1 0.067 0.664 0.079
Pt2 0.105 0.824 0.736
```

=====

Starting from the GGA-PBE geometry in Alexandria, the powder diffractogram of TiNbP3O12 was simulated for Cu Kα X-rays.
No peak broadening, texture or thermal motion is included.

Top 6 peaks for 5 to 70 degrees two-theta, most intense first:
d = 3.758 Å, 2θ = 23.7°, I = 100, (1 1 3)
d = 4.488 Å, 2θ = 19.8°, I = 93, (1 0 4)
d = 6.249 Å, 2θ = 14.2°, I = 75, (0 1 2)
d = 3.125 Å, 2θ = 28.6°, I = 68, (0 2 4)
d = 2.829 Å, 2θ = 31.6°, I = 61, (1 1 6)
d = 4.353 Å, 2θ = 20.4°, I = 52, (1 1 0)

```
data_TiNbP3O12
_chemical_formula_sum 'Ti6 Nb6 P18 O72'
_symmetry_space_group_name_H-M 'R 3 c'
_symmetry_Int_Tables_number 161
_symmetry_space_group_name_Hall 'R 3 -2"c'
_cell_length_a 8.7053
_cell_length_b 8.7053
_cell_length_c 22.3415
_cell_angle_alpha 90.00
_cell_angle_beta 90.00
_cell_angle_gamma 120.00
loop_
_atom_site_label
_atom_site_fract_x
_atom_site_fract_y
_atom_site_fract_z
Ti1 0.0000 0.0000 0.0000
Nb1 0.0000 0.0000 0.2176
P1 0.0088 0.2853 0.1073
O1 0.0274 0.2025 0.7654
O2 0.0364 0.1991 0.0521
O3 0.1651 0.4693 0.8303
O4 0.1704 0.4690 0.1177
```

=====

Starting from the GGA-PBE geometry in Alexandria, the powder diffractogram of UCoNiH6 was simulated for Cu Kα X-rays.
No peak broadening, texture or thermal motion is included.

Top 6 peaks for 5 to 70 degrees two-theta, most intense first:
d = 2.758 Å, 2θ = 32.5°, I = 100, (1 0 1)
d = 2.173 Å, 2θ = 41.6°, I = 37, (1 1 0)
d = 3.763 Å, 2θ = 23.6°, I = 32, (1 0 0)
d = 1.707 Å, 2θ = 53.7°, I = 24, (2 0 1)
d = 1.482 Å, 2θ = 62.7°, I = 23, (1 1 2)
d = 2.028 Å, 2θ = 44.7°, I = 10, (0 0 2)

```
data_UCoNiH6
_chemical_formula_sum 'U1 Co1 Ni1 H6'
_symmetry_space_group_name_H-M 'P -6 m 2'
_symmetry_Int_Tables_number 187
_symmetry_space_group_name_Hall 'P -6 2'
_cell_length_a 4.3451
_cell_length_b 4.3451
_cell_length_c 4.0550
_cell_angle_alpha 90.00
_cell_angle_beta 90.00
_cell_angle_gamma 120.00
loop_
_atom_site_label
_atom_site_fract_x
_atom_site_fract_y
_atom_site_fract_z
U1 0.0000 0.0000 0.0000
Co1 0.6667 0.3333 0.5000
Ni1 0.3333 0.6667 0.5000
H1 0.5031 0.0063 0.2373
```

=====

Starting from the GGA-PBE geometry in Alexandria, the powder diffractogram of Ag2TeH4O6 was simulated for Cu Kα X-rays.
No peak broadening, texture or thermal motion is included.

Top 6 peaks for 5 to 70 degrees two-theta, most intense first:
d = 4.131 Å, 2θ = 21.5°, I = 100, (0 2 2)
d = 3.067 Å, 2θ = 29.1°, I = 96, (1 5 1)
d = 2.655 Å, 2θ = 33.8°, I = 58, (2 0 2)
d = 2.393 Å, 2θ = 37.6°, I = 44, (1 7 1)
d = 1.840 Å, 2θ = 49.5°, I = 38, (2 2 4)
d = 1.928 Å, 2θ = 47.1°, I = 24, (1 7 3)

```
data_Ag2TeH4O6
_chemical_formula_sum 'Ag16 Te8 H32 O48'
_symmetry_space_group_name_H-M 'F d d 2'
_symmetry_Int_Tables_number 43
_symmetry_space_group_name_Hall 'F 2 -2d'
_cell_length_a 6.503
_cell_length_b 18.763
_cell_length_c 9.202
_cell_angle_alpha 90.00
_cell_angle_beta 90.00
_cell_angle_gamma 90.00
loop_
_atom_site_label
_atom_site_fract_x
_atom_site_fract_y
_atom_site_fract_z
Ag1 0.024 0.422 0.000
Te1 0.000 0.000 0.974
H1 0.024 0.259 0.995
H2 0.121 0.119 0.172
O1 0.068 0.165 0.220
O2 0.069 0.292 0.365
O3 0.079 0.295 0.068
```

=====

Starting from the GGA-PBE geometry in Alexandria, the powder diffractogram of Tb3Te3I was simulated for Cu Kα X-rays.
No peak broadening, texture or thermal motion is included.

Top 6 peaks for 5 to 70 degrees two-theta, most intense first:
d = 3.084 Å, 2θ = 29.0°, I = 100, (1 1 0)
d = 2.168 Å, 2θ = 41.7°, I = 74, (1 1 4)
d = 3.049 Å, 2θ = 29.3°, I = 48, (0 0 4)
d = 1.774 Å, 2θ = 51.5°, I = 40, (2 0 4)
d = 2.180 Å, 2θ = 41.4°, I = 38, (2 0 0)
d = 12.195 Å, 2θ = 7.2°, I = 23, (0 0 1)

```
data_Tb3Te3I
_chemical_formula_sum 'Tb3 Te3 I1'
_symmetry_space_group_name_H-M 'P 4/m m m'
_symmetry_Int_Tables_number 123
_symmetry_space_group_name_Hall '-P 4 2'
_cell_length_a 4.361
_cell_length_b 4.361
_cell_length_c 12.195
_cell_angle_alpha 90.00
_cell_angle_beta 90.00
_cell_angle_gamma 90.00
loop_
_atom_site_label
_atom_site_fract_x
_atom_site_fract_y
_atom_site_fract_z
Tb1 0.000 0.000 0.000
Tb2 0.500 0.500 0.251
Te1 0.000 0.000 0.259
Te2 0.500 0.500 0.000
I1 0.500 0.500 0.500
```

=====

Starting from the GGA-PBE geometry in Alexandria, the powder diffractogram of Ho3Cu2Si3 was simulated for Cu Kα X-rays.
No peak broadening, texture or thermal motion is included.

Top 6 peaks for 5 to 70 degrees two-theta, most intense first:
d = 2.580 Å, 2θ = 34.8°, I = 100, (1 1 4)
d = 2.604 Å, 2θ = 34.4°, I = 68, (1 3 1)
d = 3.448 Å, 2θ = 25.8°, I = 36, (0 2 3)
d = 2.077 Å, 2θ = 43.6°, I = 32, (2 0 0)
d = 2.301 Å, 2θ = 39.2°, I = 31, (1 3 3)
d = 3.714 Å, 2θ = 24.0°, I = 23, (1 1 1)

```
data_Ho3Cu2Si3
_chemical_formula_sum 'Ho12 Cu8 Si12'
_symmetry_space_group_name_H-M 'C m c m'
_symmetry_Int_Tables_number 63
_symmetry_space_group_name_Hall '-C 2c 2'
_cell_length_a 4.154
_cell_length_b 10.333
_cell_length_c 13.891
_cell_angle_alpha 90.00
_cell_angle_beta 90.00
_cell_angle_gamma 90.00
loop_
_atom_site_label
_atom_site_fract_x
_atom_site_fract_y
_atom_site_fract_z
Ho1 0.000 0.085 0.114
Ho2 0.000 0.369 0.250
Cu1 0.000 0.210 0.589
Si1 0.000 0.332 0.750
Si2 0.000 0.392 0.040
```

=====

Starting from the GGA-PBE geometry in Alexandria, the powder diffractogram of RbReNi was simulated for Cu Kα X-rays.
No peak broadening, texture or thermal motion is included.

Top 6 peaks for 5 to 70 degrees two-theta, most intense first:
d = 12.037 Å, 2θ = 7.3°, I = 100, (0 0 1)
d = 2.069 Å, 2θ = 43.7°, I = 13, (2 1 1)
d = 3.331 Å, 2θ = 26.8°, I = 11, (1 0 2)
d = 2.039 Å, 2θ = 44.4°, I = 9, (1 -1 0)
d = 4.012 Å, 2θ = 22.2°, I = 8, (0 0 3)
d = 6.019 Å, 2θ = 14.7°, I = 7, (0 0 2)

```
data_RbReNi
_chemical_formula_sum 'Rb2 Re2 Ni2'
_symmetry_space_group_name_H-M 'P 1'
_symmetry_Int_Tables_number 1
_cell_length_a 4.138
_cell_length_b 4.139
_cell_length_c 12.263
_cell_angle_alpha 89.74
_cell_angle_beta 80.35
_cell_angle_gamma 60.01
loop_
_symmetry_equiv_pos_as_xyz
'x,y,z'
loop_
_atom_site_label
_atom_site_fract_x
_atom_site_fract_y
_atom_site_fract_z
Rb1 0.000 0.000 0.000
Rb2 0.397 0.810 0.392
Re1 0.478 0.265 0.778
Re2 0.867 0.572 0.692
Ni1 0.214 0.899 0.672
Ni2 0.605 0.205 0.583
```

=====

Starting from the GGA-PBE geometry in Alexandria, the powder diffractogram of NdSm5Y4 was simulated for Cu Kα X-rays.
No peak broadening, texture or thermal motion is included.

Top 6 peaks for 5 to 70 degrees two-theta, most intense first:
d = 2.415 Å, 2θ = 37.2°, I = 100, (1 1 2)
d = 2.935 Å, 2θ = 30.5°, I = 97, (6 0 -2)
d = 2.920 Å, 2θ = 30.6°, I = 95, (4 0 2)
d = 3.287 Å, 2θ = 27.1°, I = 84, (3 1 0)
d = 2.645 Å, 2θ = 33.9°, I = 83, (7 1 0)
d = 2.818 Å, 2θ = 31.8°, I = 80, (10 0 0)

```
data_NdSm5Y4
_chemical_formula_sum 'Nd2 Sm10 Y8'
_symmetry_space_group_name_H-M 'C 1 2/m 1'
_symmetry_Int_Tables_number 12
_cell_length_a 28.409
_cell_length_b 3.509
_cell_length_c 6.852
_cell_angle_alpha 90.00
_cell_angle_beta 97.27
_cell_angle_gamma 90.00
loop_
_symmetry_equiv_pos_as_xyz
'x,y,z'
'-x,-y,-z'
'-x,y,-z'
'x,-y,z'
'x+1/2,y+1/2,z'
'-x+1/2,-y+1/2,-z'
'-x+1/2,y+1/2,-z'
'x+1/2,-y+1/2,z'
loop_
_atom_site_label
_atom_site_fract_x
_atom_site_fract_y
_atom_site_fract_z
Nd1 0.000 0.000 0.000
Sm1 0.000 0.000 0.500
Sm2 0.201 0.500 0.600
Sm3 0.206 0.500 0.104
Y1 0.094 0.500 0.300
Y2 0.109 0.000 0.809
```

=====

Starting from the GGA-PBE geometry in Alexandria, the powder diffractogram of K2TlCoBr6 was simulated for Cu Kα X-rays.
No peak broadening, texture or thermal motion is included.

Top 6 peaks for 5 to 70 degrees two-theta, most intense first:
d = 5.450 Å, 2θ = 16.3°, I = 100, (1 1 -1)
d = 2.725 Å, 2θ = 32.9°, I = 57, (0 0 4)
d = 3.262 Å, 2θ = 27.3°, I = 50, (1 0 -4)
d = 2.472 Å, 2θ = 36.3°, I = 36, (3 0 -2)
d = 3.326 Å, 2θ = 26.8°, I = 22, (1 2 0)
d = 2.444 Å, 2θ = 36.8°, I = 17, (1 1 3)

```
data_K2TlCoBr6
_chemical_formula_sum 'K4 Tl2 Co2 Br12'
_symmetry_space_group_name_H-M 'P 1 21/c 1'
_symmetry_Int_Tables_number 14
_cell_length_a 7.580
_cell_length_b 7.854
_cell_length_c 13.186
_cell_angle_alpha 90.00
_cell_angle_beta 124.36
_cell_angle_gamma 90.00
loop_
_symmetry_equiv_pos_as_xyz
'x,y,z'
'-x,-y,-z'
'-x,y+1/2,-z+1/2'
'x,-y+1/2,z+1/2'
loop_
_atom_site_label
_atom_site_fract_x
_atom_site_fract_y
_atom_site_fract_z
K1 0.223 0.073 0.245
Tl1 0.500 0.000 0.000
Co1 0.000 0.000 0.500
Br1 0.117 0.237 0.955
Br2 0.217 0.667 0.953
Br3 0.304 0.015 0.714
```

=====

What did the seventh record say?
Starting from the GGA-PBE geometry in Alexandria, the powder diffractogram of Ho3Cu2Si3 was simulated for Cu Kα X-rays.
No peak broadening, texture or thermal motion is included.

Top 6 peaks for 5 to 70 degrees two-theta, most intense first:
d = 2.580 Å, 2θ = 34.8°, I = 100, (1 1 4)
d = 2.604 Å, 2θ = 34.4°, I = 68, (1 3 1)
d = 3.448 Å, 2θ = 25.8°, I = 36, (0 2 3)
d = 2.077 Å, 2θ = 43.6°, I = 32, (2 0 0)
d = 2.301 Å, 2θ = 39.2°, I = 31, (1 3 3)
d = 3.714 Å, 2θ = 24.0°, I = 23, (1 1 1)

```
data_Ho3Cu2Si3
_chemical_formula_sum 'Ho12 Cu8 Si12'
_symmetry_space_group_name_H-M 'C m c m'
_symmetry_Int_Tables_number 63
_symmetry_space_group_name_Hall '-C 2c 2'
_cell_length_a 4.154
_cell_length_b 10.333
_cell_length_c 13.891
_cell_angle_alpha 90.00
_cell_angle_beta 90.00
_cell_angle_gamma 90.00
loop_
_atom_site_label
_atom_site_fract_x
_atom_site_fract_y
_atom_site_fract_z
Ho1 0.000 0.085 0.114
Ho2 0.000 0.369 0.250
Cu1 0.000 0.210 0.589
Si1 0.000 0.332 0.750
Si2 0.000 0.392 0.040
```

=====

Copy entry 3 word for word.
Starting from the GGA-PBE geometry in Alexandria, the powder diffractogram of TiNbP3O12 was simulated for Cu Kα X-rays.
No peak broadening, texture or thermal motion is included.

Top 6 peaks for 5 to 70 degrees two-theta, most intense first:
d = 3.758 Å, 2θ = 23.7°, I = 100, (1 1 3)
d = 4.488 Å, 2θ = 19.8°, I = 93, (1 0 4)
d = 6.249 Å, 2θ = 14.2°, I = 75, (0 1 2)
d = 3.125 Å, 2θ = 28.6°, I = 68, (0 2 4)
d = 2.829 Å, 2θ = 31.6°, I = 61, (1 1 6)
d = 4.353 Å, 2θ = 20.4°, I = 52, (1 1 0)

```
data_TiNbP3O12
_chemical_formula_sum 'Ti6 Nb6 P18 O72'
_symmetry_space_group_name_H-M 'R 3 c'
_symmetry_Int_Tables_number 161
_symmetry_space_group_name_Hall 'R 3 -2"c'
_cell_length_a 8.7053
_cell_length_b 8.7053
_cell_length_c 22.3415
_cell_angle_alpha 90.00
_cell_angle_beta 90.00
_cell_angle_gamma 120.00
loop_
_atom_site_label
_atom_site_fract_x
_atom_site_fract_y
_atom_site_fract_z
Ti1 0.0000 0.0000 0.0000
Nb1 0.0000 0.0000 0.2176
P1 0.0088 0.2853 0.1073
O1 0.0274 0.2025 0.7654
O2 0.0364 0.1991 0.0521
O3 0.1651 0.4693 0.8303
O4 0.1704 0.4690 0.1177
```

=====

- What is the formula in the eighth record?
  RbReNi